No. 1
The following is a calculated powder X-ray diffraction pattern of Cr5Si2N6. It was derived from a GGA-PBE-relaxed structure, using Cu Ka.

Principal peaks in the range 10 to 90 degrees two-theta, sorted by position:
Position (°2θ)	I/Imax
12.65	1000
21.97	704
26.62	622
37.76	280
37.80	568
38.60	425
38.74	288
40.84	381
43.86	347
44.17	857

Crystal structure
Lattice parameters (Å, degrees): 4.796 4.796 14.078 95.34 95.34 63.70
Atoms (fractional coordinates):
Cr (0.019, 0.981, 0.750)
Cr (0.059, 0.601, 0.908)
Cr (0.323, 0.363, 0.258)
Cr (0.363, 0.323, 0.758)
Cr (0.399, 0.941, 0.592)
Cr (0.601, 0.059, 0.408)
Cr (0.637, 0.677, 0.242)
Cr (0.677, 0.637, 0.742)
Cr (0.941, 0.399, 0.092)
Cr (0.981, 0.019, 0.250)
Si (0.052, 0.538, 0.589)
Si (0.462, 0.948, 0.911)
Si (0.538, 0.052, 0.089)
Si (0.948, 0.462, 0.411)
N (0.023, 0.299, 0.671)
N (0.254, 0.270, 0.493)
N (0.270, 0.254, 0.993)
N (0.299, 0.023, 0.171)
N (0.308, 0.652, 0.658)
N (0.348, 0.692, 0.842)
N (0.652, 0.308, 0.158)
N (0.692, 0.348, 0.342)
N (0.701, 0.977, 0.829)
N (0.730, 0.746, 0.007)
N (0.746, 0.730, 0.507)
N (0.977, 0.701, 0.329)

***

No. 2
The following is a calculated powder X-ray diffraction pattern of CrSn3N3. It was derived from a GGA-PBE-relaxed structure, using Cu Ka.

Principal peaks in the range 10 to 90 degrees two-theta, sorted by position:
Position (°2θ)	I/Imax
11.07	509
28.94	1000
29.58	696
31.07	454
33.65	226
36.81	246
43.61	183
50.72	232
53.58	271
54.72	250

Crystal structure
Lattice parameters (Å, degrees): 9.215 4.151 9.227 90.00 119.90 90.00
Atoms (fractional coordinates):
Cr (0.166, 0.250, 0.333)
Cr (0.834, 0.750, 0.667)
Sn (0.105, 0.250, 0.686)
Sn (0.186, 0.750, 0.081)
Sn (0.420, 0.750, 0.606)
Sn (0.580, 0.250, 0.394)
Sn (0.814, 0.250, 0.919)
Sn (0.895, 0.750, 0.314)
N (0.031, 0.250, 0.419)
N (0.081, 0.250, 0.113)
N (0.386, 0.250, 0.469)
N (0.614, 0.750, 0.531)
N (0.919, 0.750, 0.887)
N (0.969, 0.750, 0.581)

***

No. 3
The following is a calculated powder X-ray diffraction pattern of Cr3SnN. It was derived from a GGA-PBE-relaxed structure, using Cu Ka.

Principal peaks in the range 10 to 90 degrees two-theta, sorted by position:
Position (°2θ)	I/Imax
22.59	110
32.15	241
39.65	1000
46.11	570
51.94	71
57.33	101
67.26	344
76.52	48
81.00	353
85.43	119

Crystal structure
Lattice parameters (Å, degrees): 3.937 3.937 3.937 90.00 90.00 90.00
Atoms (fractional coordinates):
Cr (0.000, 0.000, 0.500)
Cr (0.000, 0.500, 0.000)
Cr (0.500, 0.000, 0.000)
Sn (0.500, 0.500, 0.500)
N (0.000, 0.000, 0.000)

***

No. 4
The following is a calculated powder X-ray diffraction pattern of SrCr2N2. It was derived from a GGA-PBE-relaxed structure, using Cu Ka.

Principal peaks in the range 10 to 90 degrees two-theta, sorted by position:
Position (°2θ)	I/Imax
27.25	95
34.06	1000
41.38	148
41.82	412
52.66	129
55.35	281
65.64	147
66.61	130
71.40	154
71.71	77

Crystal structure
Lattice parameters (Å, degrees): 3.320 3.320 6.546 90.00 90.00 120.00
Atoms (fractional coordinates):
Sr (0.000, 0.000, 0.000)
Cr (0.333, 0.667, 0.384)
Cr (0.667, 0.333, 0.616)
N (0.333, 0.667, 0.691)
N (0.667, 0.333, 0.309)

***

No. 5
The following is a calculated powder X-ray diffraction pattern of Sr2CrN2. It was derived from a GGA-PBE-relaxed structure, using Cu Ka.

Principal peaks in the range 10 to 90 degrees two-theta, sorted by position:
Position (°2θ)	I/Imax
26.49	229
28.40	463
28.68	345
29.65	726
31.95	225
32.22	1000
33.84	896
34.33	685
39.44	397
52.92	320

Crystal structure
Lattice parameters (Å, degrees): 6.330 6.330 12.450 90.00 90.00 130.53
Atoms (fractional coordinates):
Sr (0.053, 0.947, 0.856)
Sr (0.146, 0.854, 0.431)
Sr (0.354, 0.646, 0.931)
Sr (0.447, 0.553, 0.356)
Sr (0.553, 0.447, 0.644)
Sr (0.646, 0.354, 0.069)
Sr (0.854, 0.146, 0.569)
Sr (0.947, 0.053, 0.144)
Cr (0.238, 0.762, 0.673)
Cr (0.262, 0.738, 0.173)
Cr (0.738, 0.262, 0.827)
Cr (0.762, 0.238, 0.327)
N (0.092, 0.908, 0.640)
N (0.163, 0.837, 0.069)
N (0.337, 0.663, 0.569)
N (0.408, 0.592, 0.140)
N (0.592, 0.408, 0.860)
N (0.663, 0.337, 0.431)
N (0.837, 0.163, 0.931)
N (0.908, 0.092, 0.360)

***

No. 6
The following is a calculated powder X-ray diffraction pattern of SrCrN2. It was derived from a GGA-PBE-relaxed structure, using Cu Ka.

Principal peaks in the range 10 to 90 degrees two-theta, sorted by position:
Position (°2θ)	I/Imax
29.21	799
29.83	870
30.48	970
32.37	1000
34.67	405
40.00	303
40.80	248
49.52	253
52.82	307
61.27	253

Crystal structure
Lattice parameters (Å, degrees): 6.012 7.407 5.897 90.00 113.26 90.00
Atoms (fractional coordinates):
Sr (0.174, 0.066, 0.314)
Sr (0.174, 0.434, 0.814)
Sr (0.826, 0.566, 0.186)
Sr (0.826, 0.934, 0.686)
Cr (0.390, 0.636, 0.423)
Cr (0.390, 0.864, 0.923)
Cr (0.610, 0.136, 0.077)
Cr (0.610, 0.364, 0.577)
N (0.278, 0.096, 0.931)
N (0.278, 0.404, 0.431)
N (0.298, 0.719, 0.115)
N (0.298, 0.781, 0.615)
N (0.702, 0.219, 0.385)
N (0.702, 0.281, 0.885)
N (0.722, 0.596, 0.569)
N (0.722, 0.904, 0.069)

***

No. 7
The following is a calculated powder X-ray diffraction pattern of Sr3CrN3. It was derived from a GGA-PBE-relaxed structure, using Cu Ka.

Principal peaks in the range 10 to 90 degrees two-theta, sorted by position:
Position (°2θ)	I/Imax
28.44	1000
31.41	905
34.15	544
35.02	575
39.89	235
49.72	487
51.63	198
60.57	197
62.25	238
71.92	237

Crystal structure
Lattice parameters (Å, degrees): 7.829 7.829 5.251 90.00 90.00 120.00
Atoms (fractional coordinates):
Sr (0.084, 0.358, 0.250)
Sr (0.275, 0.916, 0.250)
Sr (0.358, 0.275, 0.750)
Sr (0.642, 0.725, 0.250)
Sr (0.725, 0.084, 0.750)
Sr (0.916, 0.642, 0.750)
Cr (0.333, 0.667, 0.750)
Cr (0.667, 0.333, 0.250)
N (0.122, 0.437, 0.750)
N (0.315, 0.878, 0.750)
N (0.437, 0.315, 0.250)
N (0.563, 0.685, 0.750)
N (0.685, 0.122, 0.250)
N (0.878, 0.563, 0.250)